(1)
For Pm8InSn6, a crystal structure in Alexandria, relaxed with PBE gives the simulated XRD peak list in this record (Cu Kα (weighted mean of Kα1 and Kα2)).
Neutral-atom scattering factors, no anomalous dispersion.

Crystal structure
```
data_Pm8InSn6
_chemical_formula_sum 'Pm24 In3 Sn18'
_cell_length_a 9.3794
_cell_length_b 9.3794
_cell_length_c 19.3548
_cell_angle_alpha 90.00
_cell_angle_beta 90.00
_cell_angle_gamma 120.00
_space_group_name_H-M_alt 'R -3'
_space_group_IT_number 148
_space_group_name_Hall '-R 3'
loop_
_atom_site_label
_atom_site_type_symbol
_atom_site_fract_x
_atom_site_fract_y
_atom_site_fract_z
_atom_site_occupancy
Pm1 Pm 0.0000 0.0000 0.1671 1
Pm2 Pm 0.0061 0.2916 0.5977 1
In1 In 0.0000 0.0000 0.5000 1
Sn1 Sn 0.0037 0.3651 0.4284 1
```

Main lines, low angle first (15 to 90 degrees two-theta):
(1 1 0), 4.690 Å, I 15.1
(2 -1 3), 3.793 Å, I 32.2
(0 0 6), 3.226 Å, I 17.5
(2 1 1), 3.032 Å, I 12.1
(1 2 2), 2.926 Å, I 17.8
(3 0 0), 2.708 Å, I 100.0
(1 1 6), 2.658 Å, I 96.2
(0 3 6), 2.074 Å, I 18.1
(4 -2 6), 1.897 Å, I 33.0
(4 1 6), 1.554 Å, I 21.7
(1 1 12), 1.525 Å, I 14.3
(0 3 12), 1.386 Å, I 11.9

---

(2)
For TlCr2SnCl8, a crystal structure in Alexandria, relaxed with PBE gives the simulated XRD peak list in this record (Cu Kα (weighted mean of Kα1 and Kα2)).
Neutral-atom scattering factors, no anomalous dispersion.

Crystal structure
```
data_TlCr2SnCl8
_chemical_formula_sum 'Tl2 Cr4 Sn2 Cl16'
_cell_length_a 9.4691
_cell_length_b 9.4691
_cell_length_c 8.3627
_cell_angle_alpha 90.00
_cell_angle_beta 90.00
_cell_angle_gamma 90.00
_space_group_name_H-M_alt 'I -4 m 2'
_space_group_IT_number 119
_space_group_name_Hall 'I -4 -2'
loop_
_atom_site_label
_atom_site_type_symbol
_atom_site_fract_x
_atom_site_fract_y
_atom_site_fract_z
_atom_site_occupancy
Tl1 Tl 0.0000 0.0000 0.0000 1
Cr1 Cr 0.0000 0.0000 0.5000 1
Cr2 Cr 0.0000 0.5000 0.2500 1
Sn1 Sn 0.0000 0.5000 0.7500 1
Cl1 Cl 0.0000 0.1924 0.6694 1
Cl2 Cl 0.0000 0.3317 0.0596 1
```

Main lines, low angle first (15 to 90 degrees two-theta):
(2 0 0), 4.735 Å, I 100.0
(1 1 2), 3.547 Å, I 50.3
(3 0 1), 2.953 Å, I 29.0
(1 0 3), 2.674 Å, I 18.7
(3 2 1), 2.506 Å, I 22.5
(3 1 2), 2.435 Å, I 69.1
(4 0 0), 2.367 Å, I 21.0
(3 3 2), 1.969 Å, I 28.3
(2 0 4), 1.912 Å, I 13.9
(2 2 4), 1.773 Å, I 16.2
(5 3 2), 1.514 Å, I 13.9
(4 2 4), 1.488 Å, I 14.5

---

(3)
For NdB3Ru2, a crystal structure in Alexandria, relaxed with PBE gives the simulated XRD peak list in this record (Cu Kα (weighted mean of Kα1 and Kα2)).
Neutral-atom scattering factors, no anomalous dispersion.

Crystal structure
```
data_NdB3Ru2
_chemical_formula_sum 'Nd4 B12 Ru8'
_cell_length_a 8.7662
_cell_length_b 6.0840
_cell_length_c 5.5387
_cell_angle_alpha 90.00
_cell_angle_beta 90.00
_cell_angle_gamma 90.00
_space_group_name_H-M_alt 'C m c m'
_space_group_IT_number 63
_space_group_name_Hall '-C 2c 2'
loop_
_atom_site_label
_atom_site_type_symbol
_atom_site_fract_x
_atom_site_fract_y
_atom_site_fract_z
_atom_site_occupancy
Nd1 Nd 0.0000 0.1647 0.2500 1
B1 B 0.0000 0.3565 0.7500 1
B2 B 0.1735 0.2083 0.7500 1
Ru1 Ru 0.1967 0.5000 0.0000 1
```

Main lines, low angle first (15 to 90 degrees two-theta):
(1 1 1), 3.711 Å, I 86.5
(0 2 1), 2.666 Å, I 24.9
(3 1 0), 2.634 Å, I 85.7
(2 2 0), 2.499 Å, I 65.6
(1 1 2), 2.422 Å, I 45.5
(3 1 1), 2.379 Å, I 39.8
(2 0 2), 2.341 Å, I 100.0
(2 2 1), 2.278 Å, I 38.2
(0 2 2), 2.048 Å, I 60.3
(1 3 0), 1.976 Å, I 28.6
(5 1 2), 1.439 Å, I 34.7
(3 3 2), 1.428 Å, I 40.7

---

(4)
For CaMg9Au2, a crystal structure in Alexandria, relaxed with PBE gives the simulated XRD peak list in this record (Cu Kα (weighted mean of Kα1 and Kα2)).
Neutral-atom scattering factors, no anomalous dispersion.

Crystal structure
```
data_CaMg9Au2
_chemical_formula_sum 'Ca4 Mg36 Au8'
_cell_length_a 11.9282
_cell_length_b 11.9282
_cell_length_c 7.6299
_cell_angle_alpha 90.00
_cell_angle_beta 90.00
_cell_angle_gamma 90.00
_space_group_name_H-M_alt 'I 41/a m d'
_space_group_IT_number 141
loop_
_space_group_symop_operation_xyz
'x,y,z'
'-x,-y,-z'
'-y+1/4,x+3/4,z+1/4'
'y+1/4,-x+3/4,-z+1/4'
'-x+1/2,-y,z+1/2'
'x+1/2,y,-z+1/2'
'y+1/4,-x+1/4,z+3/4'
'-y+1/4,x+1/4,-z+3/4'
'x,-y,-z'
'-x,y,z'
'-y+1/4,-x+1/4,-z+3/4'
'y+1/4,x+1/4,z+3/4'
'-x+1/2,y,-z+1/2'
'x+1/2,-y,z+1/2'
'y+1/4,x+3/4,-z+1/4'
'-y+1/4,-x+3/4,z+1/4'
'x+1/2,y+1/2,z+1/2'
'-x+1/2,-y+1/2,-z+1/2'
'-y+3/4,x+1/4,z+3/4'
'y+3/4,-x+1/4,-z+3/4'
'-x,-y+1/2,z'
'x,y+1/2,-z'
'y+3/4,-x+3/4,z+1/4'
'-y+3/4,x+3/4,-z+1/4'
'x+1/2,-y+1/2,-z+1/2'
'-x+1/2,y+1/2,z+1/2'
'-y+3/4,-x+3/4,-z+1/4'
'y+3/4,x+3/4,z+1/4'
'-x,y+1/2,-z'
'x,-y+1/2,z'
'y+3/4,x+1/4,-z+3/4'
'-y+3/4,-x+1/4,z+3/4'
loop_
_atom_site_label
_atom_site_type_symbol
_atom_site_fract_x
_atom_site_fract_y
_atom_site_fract_z
_atom_site_occupancy
Ca1 Ca 0.0000 0.2500 0.3750 1
Mg1 Mg 0.0000 0.2500 0.8750 1
Mg2 Mg 0.1225 0.0506 0.6864 1
Au1 Au 0.0000 0.0000 0.0000 1
```

Main lines, low angle first (15 to 90 degrees two-theta):
(2 1 1), 4.372 Å, I 99.7
(2 2 0), 4.217 Å, I 72.6
(2 0 2), 3.214 Å, I 77.5
(3 2 1), 3.035 Å, I 65.8
(4 0 0), 2.982 Å, I 43.9
(1 0 3), 2.487 Å, I 29.6
(2 1 3), 2.296 Å, I 32.8
(5 0 1), 2.277 Å, I 67.0
(4 2 2), 2.186 Å, I 100.0
(5 2 1), 2.127 Å, I 23.9
(6 0 2), 1.763 Å, I 23.0
(2 2 4), 1.739 Å, I 41.2

---

(5)
For La4Pm6Th, a crystal structure in Alexandria, relaxed with PBE gives the simulated XRD peak list in this record (Cu Kα (weighted mean of Kα1 and Kα2)).
Neutral-atom scattering factors, no anomalous dispersion.

Crystal structure
```
data_La4Pm6Th
_chemical_formula_sum 'La8 Pm12 Th2'
_cell_length_a 8.8840
_cell_length_b 8.8840
_cell_length_c 9.8390
_cell_angle_alpha 90.00
_cell_angle_beta 90.00
_cell_angle_gamma 90.00
_space_group_name_H-M_alt 'P 4/m n c'
_space_group_IT_number 128
_space_group_name_Hall '-P 4 2n'
loop_
_atom_site_label
_atom_site_type_symbol
_atom_site_fract_x
_atom_site_fract_y
_atom_site_fract_z
_atom_site_occupancy
La1 La 0.1433 0.3567 0.2500 1
Pm1 Pm 0.0000 0.0000 0.1681 1
Pm2 Pm 0.1521 0.6577 0.0000 1
Th1 Th 0.0000 0.0000 0.5000 1
```

Main lines, low angle first (15 to 90 degrees two-theta):
(2 2 0), 3.141 Å, I 13.4
(2 1 2), 3.091 Å, I 100.0
(1 0 3), 3.077 Å, I 16.8
(3 1 0), 2.809 Å, I 67.3
(2 1 3), 2.529 Å, I 21.6
(0 0 4), 2.460 Å, I 13.6
(4 2 0), 1.987 Å, I 11.8
(4 1 2), 1.972 Å, I 19.4
(3 1 4), 1.851 Å, I 15.6
(3 3 4), 1.594 Å, I 7.8
(5 2 2), 1.564 Å, I 27.9
(2 1 6), 1.516 Å, I 11.9

---

(6)
For Li8CrS6, a crystal structure in Alexandria, relaxed with PBE gives the simulated XRD peak list in this record (Cu Kα (weighted mean of Kα1 and Kα2)).
Neutral-atom scattering factors, no anomalous dispersion.

Crystal structure
```
data_Li8CrS6
_chemical_formula_sum 'Li16 Cr2 S12'
_cell_length_a 6.8605
_cell_length_b 6.8605
_cell_length_c 13.3216
_cell_angle_alpha 90.00
_cell_angle_beta 90.00
_cell_angle_gamma 120.00
_space_group_name_H-M_alt 'P 63 c m'
_space_group_IT_number 185
_space_group_name_Hall 'P 6c -2'
loop_
_atom_site_label
_atom_site_type_symbol
_atom_site_fract_x
_atom_site_fract_y
_atom_site_fract_z
_atom_site_occupancy
Li1 Li 0.0000 0.3174 0.0000 1
Li2 Li 0.0000 0.3729 0.3655 1
Li3 Li 0.3333 0.6667 0.1381 1
Cr1 Cr 0.0000 0.0000 0.2338 1
S1 S 0.0000 0.0000 0.4017 1
S2 S 0.0000 0.3037 0.1853 1
S3 S 0.3333 0.6667 0.4516 1
```

Main lines, low angle first (15 to 90 degrees two-theta):
(1 0 2), 4.434 Å, I 73.4
(1 1 0), 3.430 Å, I 34.5
(0 0 4), 3.326 Å, I 100.0
(1 1 2), 3.050 Å, I 35.4
(2 0 2), 2.714 Å, I 25.5
(2 1 2), 2.128 Å, I 13.2
(1 1 5), 2.104 Å, I 16.8
(1 0 6), 2.080 Å, I 16.9
(3 0 0), 1.980 Å, I 49.0
(1 1 6), 1.864 Å, I 21.7
(3 0 4), 1.702 Å, I 33.0
(2 1 6), 1.579 Å, I 13.2

---

(7)
For AcPr5Nd5, a crystal structure in Alexandria, relaxed with PBE gives the simulated XRD peak list in this record (Cu Kα (weighted mean of Kα1 and Kα2)).
Neutral-atom scattering factors, no anomalous dispersion.

Crystal structure
```
data_AcPr5Nd5
_chemical_formula_sum 'Ac2 Pr10 Nd10'
_cell_length_a 10.5536
_cell_length_b 6.6179
_cell_length_c 12.5853
_cell_angle_alpha 90.00
_cell_angle_beta 112.59
_cell_angle_gamma 90.00
_space_group_name_H-M_alt 'C 1 m 1'
_space_group_IT_number 8
loop_
_space_group_symop_operation_xyz
'x,y,z'
'x,-y,z'
'x+1/2,y+1/2,z'
'x+1/2,-y+1/2,z'
loop_
_atom_site_label
_atom_site_type_symbol
_atom_site_fract_x
_atom_site_fract_y
_atom_site_fract_z
_atom_site_occupancy
Ac1 Ac 0.0000 0.0000 0.0000 1
Pr1 Pr 0.0147 0.0000 0.2905 1
Pr2 Pr 0.0924 0.5000 0.8008 1
Pr3 Pr 0.1815 0.5000 0.1042 1
Pr4 Pr 0.2972 0.0000 0.9018 1
Pr5 Pr 0.4307 0.5000 0.6929 1
Nd1 Nd 0.0907 0.5000 0.5216 1
Nd2 Nd 0.2153 0.0000 0.6041 1
Nd3 Nd 0.3009 0.2665 0.4027 1
Nd4 Nd 0.3992 0.0000 0.2064 1
```

Main lines, low angle first (15 to 90 degrees two-theta):
(0 2 0), 3.309 Å, I 44.3
(0 2 1), 3.182 Å, I 23.9
(3 1 -1), 3.091 Å, I 72.4
(2 0 -4), 3.066 Å, I 75.2
(3 1 0), 2.916 Å, I 29.3
(1 1 3), 2.882 Å, I 100.0
(2 2 -2), 2.712 Å, I 16.6
(2 2 -3), 2.505 Å, I 24.9
(2 2 -4), 2.249 Å, I 25.2
(5 1 -4), 1.927 Å, I 18.6
(1 3 3), 1.817 Å, I 19.1
(1 1 -7), 1.693 Å, I 20.6

---

(8)
For TbSm2Cd6, a crystal structure in Alexandria, relaxed with PBE gives the simulated XRD peak list in this record (Cu Kα (weighted mean of Kα1 and Kα2)).
Neutral-atom scattering factors, no anomalous dispersion.

Crystal structure
```
data_TbSm2Cd6
_chemical_formula_sum 'Tb1 Sm2 Cd6'
_cell_length_a 8.7151
_cell_length_b 8.7151
_cell_length_c 3.4334
_cell_angle_alpha 90.00
_cell_angle_beta 90.00
_cell_angle_gamma 120.00
_space_group_name_H-M_alt 'P 6/m m m'
_space_group_IT_number 191
_space_group_name_Hall '-P 6 2'
loop_
_atom_site_label
_atom_site_type_symbol
_atom_site_fract_x
_atom_site_fract_y
_atom_site_fract_z
_atom_site_occupancy
Tb1 Tb 0.0000 0.0000 0.0000 1
Sm1 Sm 0.3333 0.6667 0.0000 1
Cd1 Cd 0.0000 0.3319 0.5000 1
```

Main lines, low angle first (15 to 90 degrees two-theta):
(1 1 1), 2.697 Å, I 100.0
(3 0 0), 2.516 Å, I 84.2
(3 0 1), 2.029 Å, I 3.5
(2 2 1), 1.840 Å, I 32.0
(0 0 2), 1.717 Å, I 8.6
(4 1 1), 1.485 Å, I 31.3
(3 3 0), 1.453 Å, I 14.7
(3 0 2), 1.418 Å, I 27.0
(6 0 0), 1.258 Å, I 9.0
(5 2 1), 1.140 Å, I 13.4
(3 3 2), 1.109 Å, I 12.6
(1 1 3), 1.107 Å, I 6.2

---

(9)
For Ag13Sb3, a crystal structure in Alexandria, relaxed with PBE gives the simulated XRD peak list in this record (Cu Kα (weighted mean of Kα1 and Kα2)).
Neutral-atom scattering factors, no anomalous dispersion.

Crystal structure
```
data_Ag13Sb3
_chemical_formula_sum 'Ag26 Sb6'
_cell_length_a 6.4848
_cell_length_b 9.5064
_cell_length_c 10.1969
_cell_angle_alpha 90.00
_cell_angle_beta 90.00
_cell_angle_gamma 90.00
_space_group_name_H-M_alt 'A m m 2'
_space_group_IT_number 38
loop_
_space_group_symop_operation_xyz
'x,y,z'
'-x,-y,z'
'-x,y,z'
'x,-y,z'
'x,y+1/2,z+1/2'
'-x,-y+1/2,z+1/2'
'-x,y+1/2,z+1/2'
'x,-y+1/2,z+1/2'
loop_
_atom_site_label
_atom_site_type_symbol
_atom_site_fract_x
_atom_site_fract_y
_atom_site_fract_z
_atom_site_occupancy
Ag1 Ag 0.0000 0.0000 0.0000 1
Ag2 Ag 0.0000 0.0000 0.5172 1
Ag3 Ag 0.0000 0.2489 0.6894 1
Ag4 Ag 0.2386 0.0000 0.7526 1
Ag5 Ag 0.2415 0.2485 0.4427 1
Ag6 Ag 0.5000 0.0000 0.5198 1
Ag7 Ag 0.5000 0.2451 0.6894 1
Sb1 Sb 0.2459 0.0000 0.2694 1
Sb2 Sb 0.5000 0.0000 0.9776 1
```

Main lines, low angle first (15 to 90 degrees two-theta):
(2 0 2), 2.736 Å, I 11.3
(0 0 4), 2.549 Å, I 12.2
(0 4 0), 2.372 Å, I 100.0
(0 2 4), 2.247 Å, I 20.6
(2 4 2), 1.794 Å, I 6.2
(0 4 4), 1.738 Å, I 7.3
(4 0 0), 1.621 Å, I 6.8
(2 0 6), 1.505 Å, I 8.3
(2 6 2), 1.371 Å, I 12.5
(4 4 0), 1.339 Å, I 6.9
(4 2 4), 1.315 Å, I 6.7
(2 4 6), 1.272 Å, I 9.3

---

(10)
For MgFe2Ir, a crystal structure in Alexandria, relaxed with PBE gives the simulated XRD peak list in this record (Cu Kα (weighted mean of Kα1 and Kα2)).
Neutral-atom scattering factors, no anomalous dispersion.

Crystal structure
```
data_MgFe2Ir
_chemical_formula_sum 'Mg2 Fe4 Ir2'
_cell_length_a 2.9564
_cell_length_b 4.2613
_cell_length_c 8.8008
_cell_angle_alpha 90.00
_cell_angle_beta 90.00
_cell_angle_gamma 90.00
_space_group_name_H-M_alt 'I m m m'
_space_group_IT_number 71
_space_group_name_Hall '-I 2 2'
loop_
_atom_site_label
_atom_site_type_symbol
_atom_site_fract_x
_atom_site_fract_y
_atom_site_fract_z
_atom_site_occupancy
Mg1 Mg 0.0000 0.0000 0.0000 1
Fe1 Fe 0.0000 0.5000 0.2384 1
Ir1 Ir 0.0000 0.0000 0.5000 1
```

Main lines, low angle first (15 to 90 degrees two-theta):
(0 0 2), 4.400 Å, I 11.0
(0 1 1), 3.835 Å, I 51.9
(1 0 1), 2.802 Å, I 18.9
(0 1 3), 2.416 Å, I 10.0
(0 0 4), 2.200 Å, I 21.6
(0 2 0), 2.127 Å, I 100.0
(1 0 3), 2.082 Å, I 12.3
(1 2 1), 1.696 Å, I 8.9
(0 2 4), 1.531 Å, I 13.4
(1 2 3), 1.489 Å, I 8.5
(1 1 6), 1.256 Å, I 13.1
(1 3 2), 1.229 Å, I 12.9

---

(11)
For La5Pr2Ho4, a crystal structure in Alexandria, relaxed with PBE gives the simulated XRD peak list in this record (Cu Kα (weighted mean of Kα1 and Kα2)).
Neutral-atom scattering factors, no anomalous dispersion.

Crystal structure
```
data_La5Pr2Ho4
_chemical_formula_sum 'La10 Pr4 Ho8'
_cell_length_a 18.2964
_cell_length_b 3.6236
_cell_length_c 12.3715
_cell_angle_alpha 90.00
_cell_angle_beta 107.33
_cell_angle_gamma 90.00
_space_group_name_H-M_alt 'C 1 2/m 1'
_space_group_IT_number 12
loop_
_space_group_symop_operation_xyz
'x,y,z'
'-x,-y,-z'
'-x,y,-z'
'x,-y,z'
'x+1/2,y+1/2,z'
'-x+1/2,-y+1/2,-z'
'-x+1/2,y+1/2,-z'
'x+1/2,-y+1/2,z'
loop_
_atom_site_label
_atom_site_type_symbol
_atom_site_fract_x
_atom_site_fract_y
_atom_site_fract_z
_atom_site_occupancy
La1 La 0.0000 0.0000 0.0000 1
La2 La 0.1147 0.5000 0.5170 1
La3 La 0.1657 0.5000 0.0105 1
Pr1 Pr 0.1749 0.0000 0.2871 1
Ho1 Ho 0.0047 0.5000 0.7504 1
Ho2 Ho 0.1696 0.0000 0.7691 1
```

Main lines, low angle first (15 to 90 degrees two-theta):
(2 0 -4), 3.095 Å, I 24.4
(0 0 4), 2.953 Å, I 52.1
(3 1 -2), 2.923 Å, I 100.0
(6 0 0), 2.911 Å, I 36.4
(3 1 2), 2.568 Å, I 80.2
(6 0 -4), 2.474 Å, I 17.8
(0 2 0), 1.812 Å, I 16.4
(3 1 -6), 1.791 Å, I 13.1
(9 1 -2), 1.772 Å, I 12.8
(3 1 6), 1.550 Å, I 14.2
(0 2 4), 1.544 Å, I 15.8
(6 2 0), 1.538 Å, I 17.2